No. 1
The following is a simulated X-ray diffraction stick pattern of ThGaNi. It was derived from a DFT-relaxed cell (GGA-PBE, the Materials Project), using Cu Kα, 1.54184 Å.

The 8 most intense peaks (2θ from 10° to 90°), low angle first:
d_spacing	I (rel.)
3.520	26
3.049	28
2.652	100
2.432	90
2.305	44
2.017	24
1.560	40
1.518	24

Cell and atoms:
```
ThGaNi
1.0
7.0409 0.0000 0.0000
-3.5205 6.0976 0.0000
0.0000 0.0000 4.0330
Th Ga Ni
3 3 3
Cartesian
-1.4716 2.5489 0.0000
2.9432 0.0000 0.0000
2.0488 3.5487 0.0000
-2.6873 4.6546 2.0165
0.8331 1.4430 2.0165
5.3746 0.0000 2.0165
0.0000 0.0000 0.0000
0.0000 4.0651 2.0165
3.5205 2.0325 2.0165
```

---

No. 2
The following is a simulated X-ray diffraction stick pattern of Li6Al13Cu8. It was derived from a DFT-relaxed cell (GGA-PBE, the Materials Project), using Cu Kα, 1.54184 Å.

The 8 most intense peaks (2θ from 10° to 90°), low angle first:
d_spacing	I (rel.)
5.686	20
4.495	100
3.179	24
2.248	32
2.171	58
2.010	30
1.955	50
1.561	14

Cell and atoms:
```
Li6Al13Cu8
1.0
12.7142 0.0000 0.0000
0.0000 12.7142 0.0000
0.0000 0.0000 4.9578
Li Al Cu
12 26 16
Cartesian
1.0571 5.3000 0.0000
1.8019 4.5552 2.4789
2.7524 9.1094 2.4789
3.6047 2.7524 2.4789
4.5552 10.9122 2.4789
5.3000 11.6571 0.0000
7.4142 1.0571 0.0000
8.1590 1.8019 2.4789
9.1094 9.9618 2.4789
9.9618 3.6047 2.4789
10.9122 8.1590 2.4789
11.6571 7.4142 0.0000
0.0000 0.0000 0.0000
0.9351 7.2921 2.4789
1.1996 1.4865 2.4789
1.4865 11.5145 2.4789
1.7450 8.1021 0.0000
1.9092 2.4560 0.0000
2.4560 10.8050 0.0000
3.9011 4.4479 0.0000
4.4479 8.8130 0.0000
4.6121 1.7450 0.0000
4.8706 5.1574 2.4789
5.1574 7.8436 2.4789
5.4220 0.9351 2.4789
6.3571 6.3571 0.0000
7.2921 11.7791 2.4789
7.5567 4.8706 2.4789
7.8436 7.5567 2.4789
8.1021 10.9692 0.0000
8.2663 3.9011 0.0000
8.8130 8.2663 0.0000
10.2582 1.9092 0.0000
10.8050 10.2582 0.0000
10.9692 4.6121 0.0000
11.2277 1.1996 2.4789
11.5145 11.2277 2.4789
11.7791 5.4220 2.4789
0.2861 9.6278 1.2438
0.2861 9.6278 3.7140
3.0863 0.2861 1.2438
3.0863 0.2861 3.7140
3.2708 6.6432 1.2438
3.2708 6.6432 3.7140
6.0710 3.2708 1.2438
6.0710 3.2708 3.7140
6.6432 9.4434 1.2438
6.6432 9.4434 3.7140
9.4434 6.0710 1.2438
9.4434 6.0710 3.7140
9.6278 12.4281 1.2438
9.6278 12.4281 3.7140
12.4281 3.0863 1.2438
12.4281 3.0863 3.7140
```

---

No. 3
The following is a simulated X-ray diffraction stick pattern of Cs2PtCl6. It was derived from a DFT-relaxed cell (GGA-PBE, the Materials Project), using Cu Kα, 1.54184 Å.

The 8 most intense peaks (2θ from 10° to 90°), low angle first:
d_spacing	I (rel.)
6.132	76
3.755	100
3.202	29
2.655	57
2.168	43
1.878	38
1.679	25
1.419	27

Cell and atoms:
```
Cs2PtCl6
1.0
0.0000 5.3107 5.3107
5.3107 0.0000 5.3107
5.3107 5.3107 0.0000
Cs Pt Cl
2 1 6
Cartesian
2.6554 2.6554 2.6554
7.9661 7.9661 7.9661
0.0000 0.0000 0.0000
5.3107 5.3107 2.3549
5.3107 2.3549 5.3107
8.2665 5.3107 5.3107
2.3549 5.3107 5.3107
5.3107 8.2665 5.3107
5.3107 5.3107 8.2665
```

---

No. 4
The following is a simulated X-ray diffraction stick pattern of Sr7Re4O19. It was derived from a DFT-relaxed cell (GGA-PBE, the Materials Project), using Cu Kα, 1.54184 Å.

The 8 most intense peaks (2θ from 10° to 90°), low angle first:
d_spacing	I (rel.)
4.557	18
3.115	43
3.104	82
2.815	100
2.090	44
2.078	19
1.865	18
1.678	28

Cell and atoms:
```
Sr7Re4O19
1.0
6.9237 -2.8193 0.0000
6.9237 2.8193 0.0000
-1.5807 0.0000 10.3946
Sr Re O
7 4 19
Cartesian
0.0000 0.0000 0.0000
0.1095 0.0000 6.9086
2.5622 0.0000 9.4880
4.1064 0.0000 5.6386
8.1603 0.0000 4.7560
9.7045 0.0000 0.9067
12.1571 0.0000 3.4860
1.9006 0.0000 2.9126
6.1847 0.0000 1.8417
6.0820 0.0000 8.5529
10.3661 0.0000 7.4820
3.0019 1.3508 3.5998
0.7292 0.0000 4.4738
5.0047 1.3842 1.3179
4.7021 1.3847 8.1562
2.5364 0.0000 1.1785
7.5645 1.3847 2.2385
7.2620 1.3842 9.0767
5.7453 0.0000 3.6825
3.0019 -1.3508 3.5998
6.9237 0.0000 0.0000
9.2647 1.3508 6.7948
6.5214 0.0000 6.7121
5.0047 -1.3842 1.3179
4.7021 -1.3847 8.1562
9.7302 0.0000 9.2161
7.5645 -1.3847 2.2385
7.2620 -1.3842 9.0767
11.5375 0.0000 5.9208
9.2647 -1.3508 6.7948
```

---

No. 5
The following is a simulated X-ray diffraction stick pattern of NdNbO4. It was derived from a DFT-relaxed cell (GGA-PBE, the Materials Project), using Cu Kα, 1.54184 Å.

The 8 most intense peaks (2θ from 10° to 90°), low angle first:
d_spacing	I (rel.)
3.222	100
3.119	90
2.878	24
2.735	21
2.637	17
1.983	29
1.944	44
1.628	24

Cell and atoms:
```
NdNbO4
1.0
3.7135 -5.7566 0.0000
3.7135 5.7566 0.0000
-3.5719 0.0000 3.8881
Nd Nb O
2 2 8
Cartesian
1.0346 4.2912 2.9161
2.8205 -4.2912 0.9720
2.8205 1.2894 0.9720
1.0346 -1.2894 2.9161
1.3421 2.3970 1.3280
-1.0441 0.3974 3.1810
0.7418 -0.3974 1.2369
4.2989 2.3970 0.6161
-0.4438 -2.3970 3.2720
3.1133 0.3974 2.6512
4.8992 -0.3974 0.7072
2.5130 -2.3970 2.5602
```

---

No. 6
The following is a simulated X-ray diffraction stick pattern of TbAgSn2. It was derived from a DFT-relaxed cell (GGA-PBE, the Materials Project), using Cu Kα, 1.54184 Å.

The 8 most intense peaks (2θ from 10° to 90°), low angle first:
d_spacing	I (rel.)
2.646	100
2.325	35
2.228	15
1.644	12
1.609	22
1.396	28
1.354	13
1.323	12

Cell and atoms:
```
TbAgSn2
1.0
4.6499 0.0000 0.0000
0.0000 4.6499 0.0000
0.0000 0.0000 4.4555
Tb Ag Sn
1 1 2
Cartesian
0.0000 0.0000 0.0000
2.3250 2.3250 0.0000
0.0000 2.3250 2.2278
2.3250 0.0000 2.2278
```